Record 1
Diffraction record for Sr3Mg4Zn4. The powder diffraction line list is computed, not measured: it uses a crystal structure in Alexandria, relaxed with PBE and Cu Kα, 1.54184 Å.

Structure:
```
data_Sr3Mg4Zn4
_space_group_name_H-M_alt 'I -4 3 m'
_space_group_IT_number 217
_space_group_name_Hall 'I -4 2 3'
_cell_length_a 8.4871
_cell_length_b 8.4871
_cell_length_c 8.4871
_cell_angle_alpha 90.00
_cell_angle_beta 90.00
_cell_angle_gamma 90.00
loop_
_atom_site_label
_atom_site_type_symbol
_atom_site_fract_x
_atom_site_fract_y
_atom_site_fract_z
Sr1 Sr 0.0000 0.0000 0.5000
Mg1 Mg 0.1309 0.1309 0.1309
Zn1 Zn 0.1906 0.1906 0.8094
```

Top 10 peaks for 15 to 90 degrees two-theta, sorted by position:
- hkl 2 1 1, 2θ = 25.71°, I 45
- hkl 2 2 0, 2θ = 29.77°, I 100
- hkl 3 1 0, 2θ = 33.39°, I 47
- hkl 3 2 1, 2θ = 39.74°, I 17
- hkl 4 1 1, 2θ = 45.33°, I 34
- hkl 4 2 0, 2θ = 47.94°, I 20
- hkl 3 3 2, 2θ = 50.43°, I 18
- hkl 4 2 2, 2θ = 52.85°, I 20
- hkl 6 0 0, 2θ = 66.05°, I 17
- hkl 6 2 2, 2θ = 74.10°, I 13

---

Record 2
Diffraction record for Sr3Mg8Zn. The powder diffraction line list is computed, not measured: it uses a crystal structure in Alexandria, relaxed with PBE and Cu Kα, 1.54184 Å.

Structure:
```
data_Sr3Mg8Zn
_space_group_name_H-M_alt 'R 3 m'
_space_group_IT_number 160
_space_group_name_Hall 'R 3 -2"'
_cell_length_a 6.2969
_cell_length_b 6.2969
_cell_length_c 30.6589
_cell_angle_alpha 90.00
_cell_angle_beta 90.00
_cell_angle_gamma 120.00
loop_
_atom_site_label
_atom_site_type_symbol
_atom_site_fract_x
_atom_site_fract_y
_atom_site_fract_z
Sr1 Sr 0.0000 0.0000 0.0000
Sr2 Sr 0.0000 0.0000 0.1276
Sr3 Sr 0.0000 0.0000 0.6178
Mg1 Mg 0.0000 0.0000 0.3120
Mg2 Mg 0.0000 0.0000 0.8120
Mg3 Mg 0.9996 0.4998 0.5603
Mg4 Mg 0.0015 0.5008 0.0637
Zn1 Zn 0.0000 0.0000 0.4814
```

Top 10 peaks for 15 to 90 degrees two-theta, sorted by position:
- hkl 0 0 6, 2θ = 17.29°, I 31
- hkl 1 1 0, 2θ = 28.35°, I 48
- hkl 0 1 8, 2θ = 28.47°, I 41
- hkl 1 1 6, 2θ = 33.41°, I 100
- hkl 1 0 10, 2θ = 33.53°, I 21
- hkl 3 0 0, 2θ = 50.23°, I 26
- hkl 3 0 6, 2θ = 53.49°, I 25
- hkl 2 1 10, 2θ = 53.58°, I 11
- hkl 2 2 0, 2θ = 58.64°, I 15
- hkl 1 4 6, 2θ = 83.40°, I 13

---

Which formula does entry 1 have?
Sr3Mg4Zn4